Record 1
The following is a calculated X-ray powder pattern of Pr2SmSe3. It was derived from a DFT-relaxed cell (PBE, OQMD), using Cu Kα.
Intensities are scaled so that the largest is 100.

Peak list (8 most intense, 15° ≤ 2θ ≤ 90°, sorted by position)
| two_theta | Rel. int. | index |
| --- | --- | --- |
| 29.90 | 100 | 0 1 2 |
| 42.72 | 37 | 1 0 4 |
| 42.86 | 37 | 1 1 0 |
| 53.13 | 20 | 2 0 2 |
| 62.11 | 12 | 0 2 4 |
| 70.35 | 17 | 1 1 6 |
| 70.55 | 17 | 1 2 2 |
| 78.45 | 19 | 3 0 0 |

Structural model:
Cell lengths 4.2203, 4.2203, 10.3851 Å; angles 90.00, 90.00, 120.00 degrees
Space group P-3m1 (No. 164)
Asymmetric unit:
Pr 0.3333 0.6667 0.1689 [2 per cell]
Sm 0.0000 0.0000 0.5000 [1 per cell]
Se 0.0000 0.0000 0.0000 [1 per cell]
Se 0.3333 0.6667 0.6600 [2 per cell]

=====

Record 2
The following is a calculated X-ray powder pattern of Cs3RbZn2Ge2. It was derived from a DFT-relaxed cell (PBE, OQMD), using Cu Kα.
Intensities are scaled so that the largest is 100.

Peak list (8 most intense, 15° ≤ 2θ ≤ 90°, sorted by position)
| two_theta | Rel. int. | index |
| --- | --- | --- |
| 25.59 | 44 | 2 0 -1 |
| 25.85 | 55 | 1 1 1 |
| 26.43 | 25 | 0 2 0 |
| 28.86 | 100 | 1 1 -2 |
| 29.76 | 20 | 1 2 0 |
| 34.76 | 22 | 1 2 1 |
| 48.19 | 24 | 1 3 -2 |
| 49.49 | 35 | 3 2 0 |

Structural model:
Cell lengths 7.041, 6.744, 7.056 Å; angles 90.00, 110.64, 90.00 degrees
Space group Pm (No. 6)
Asymmetric unit:
Cs 0.000 0.000 0.000 [1 per cell]
Cs 0.024 0.500 0.356 [1 per cell]
Cs 0.688 0.500 0.688 [1 per cell]
Rb 0.336 0.000 0.671 [1 per cell]
Zn 0.511 0.250 0.175 [2 per cell]
Ge 0.290 0.500 0.956 [1 per cell]
Ge 0.724 0.000 0.403 [1 per cell]